(1)
Starting from a DFT-relaxed cell (GGA-PBE, Alexandria), the XRD peak list of AcBP2O8 was simulated for λ = 1.5418 Å (Cu Kα).

Crystal structure
```
data_AcBP2O8
_chemical_formula_sum 'Ac2 B2 P4 O16'
_space_group_name_H-M_alt 'C 1 2/m 1'
_space_group_IT_number 12
_cell_length_a 11.6648
_cell_length_b 4.6915
_cell_length_c 7.7298
_cell_angle_alpha 90.00
_cell_angle_beta 130.19
_cell_angle_gamma 90.00
loop_
_space_group_symop_operation_xyz
'x,y,z'
'-x,-y,-z'
'-x,y,-z'
'x,-y,z'
'x+1/2,y+1/2,z'
'-x+1/2,-y+1/2,-z'
'-x+1/2,y+1/2,-z'
'x+1/2,-y+1/2,z'
loop_
_atom_site_label
_atom_site_type_symbol
_atom_site_fract_x
_atom_site_fract_y
_atom_site_fract_z
Ac1 Ac 0.0000 0.0000 0.0000
B1 B 0.0000 0.5000 0.5000
P1 P 0.1815 0.0000 0.7201
O1 O 0.1196 0.2720 0.5649
O2 O 0.1373 0.0000 0.8667
O3 O 0.1481 0.5000 0.1474
```

The 10 most intense peaks (5 to 70 degrees two-theta), sorted by position:
- 2θ 15.00, I 63, (0 0 1)
- 2θ 15.35, I 29, (2 0 -1)
- 2θ 19.93, I 33, (2 0 0)
- 2θ 21.41, I 100, (1 1 0)
- 2θ 22.17, I 30, (1 1 -1)
- 2θ 23.02, I 94, (2 0 -2)
- 2θ 29.80, I 89, (1 1 1)
- 2θ 30.16, I 43, (3 1 -1)
- 2θ 31.81, I 35, (3 1 -2)
- 2θ 41.42, I 30, (0 2 1)

***

(2)
Starting from a DFT-relaxed cell (GGA-PBE, Alexandria), the XRD peak list of AcB2PO8 was simulated for λ = 1.5418 Å (Cu Kα).

Crystal structure
```
data_AcB2PO8
_chemical_formula_sum 'Ac2 B4 P2 O16'
_space_group_name_H-M_alt 'C 1 2/m 1'
_space_group_IT_number 12
_cell_length_a 7.4680
_cell_length_b 4.7056
_cell_length_c 7.2450
_cell_angle_alpha 90.00
_cell_angle_beta 93.58
_cell_angle_gamma 90.00
loop_
_space_group_symop_operation_xyz
'x,y,z'
'-x,-y,-z'
'-x,y,-z'
'x,-y,z'
'x+1/2,y+1/2,z'
'-x+1/2,-y+1/2,-z'
'-x+1/2,y+1/2,-z'
'x+1/2,-y+1/2,z'
loop_
_atom_site_label
_atom_site_type_symbol
_atom_site_fract_x
_atom_site_fract_y
_atom_site_fract_z
Ac1 Ac 0.0000 0.0000 0.0000
B1 B 0.1343 0.5000 0.3077
P1 P 0.0000 0.0000 0.5000
O1 O 0.0166 0.2459 0.3309
O2 O 0.1834 0.5000 0.1201
O3 O 0.2258 0.0000 0.5393
```

The 10 most intense peaks (5 to 70 degrees two-theta), sorted by position:
- 2θ 12.24, I 59, (0 0 1)
- 2θ 22.34, I 100, (1 1 0)
- 2θ 23.88, I 54, (2 0 0)
- 2θ 24.62, I 40, (0 0 2)
- 2θ 25.92, I 62, (1 1 1)
- 2θ 26.21, I 29, (2 0 -1)
- 2θ 32.91, I 46, (1 1 -2)
- 2θ 34.06, I 47, (1 1 2)
- 2θ 41.08, I 31, (3 1 0)
- 2θ 46.05, I 36, (0 2 2)

***

(3)
Starting from a DFT-relaxed cell (GGA-PBE, Alexandria), the XRD peak list of AcPaB2O8 was simulated for λ = 1.5418 Å (Cu Kα).

Crystal structure
```
data_AcPaB2O8
_chemical_formula_sum 'Ac2 Pa2 B4 O16'
_space_group_name_H-M_alt 'I -4'
_space_group_IT_number 82
_cell_length_a 4.7644
_cell_length_b 4.7644
_cell_length_c 11.8091
_cell_angle_alpha 90.00
_cell_angle_beta 90.00
_cell_angle_gamma 90.00
loop_
_space_group_symop_operation_xyz
'x,y,z'
'y,-x,-z'
'-x,-y,z'
'-y,x,-z'
'x+1/2,y+1/2,z+1/2'
'y+1/2,-x+1/2,-z+1/2'
'-x+1/2,-y+1/2,z+1/2'
'-y+1/2,x+1/2,-z+1/2'
loop_
_atom_site_label
_atom_site_type_symbol
_atom_site_fract_x
_atom_site_fract_y
_atom_site_fract_z
Ac1 Ac 0.0000 0.0000 0.0000
Pa1 Pa 0.0000 0.5000 0.7500
B1 B 0.0000 0.0000 0.5000
B2 B 0.0000 0.5000 0.2500
O1 O 0.0776 0.2395 0.5751
O2 O 0.1243 0.7463 0.1911
```

The 10 most intense peaks (5 to 70 degrees two-theta), sorted by position:
- 2θ 20.10, I 97, (1 0 1)
- 2θ 29.43, I 33, (1 0 3)
- 2θ 30.27, I 24, (0 0 4)
- 2θ 30.55, I 100, (1 1 2)
- 2θ 37.76, I 23, (2 0 0)
- 2θ 42.73, I 23, (1 0 5)
- 2θ 43.14, I 39, (2 1 1)
- 2θ 48.59, I 32, (1 2 3)
- 2θ 49.14, I 27, (2 0 4)
- 2θ 63.75, I 25, (1 3 2)

***

(4)
Starting from a DFT-relaxed cell (GGA-PBE, Alexandria), the XRD peak list of AcPmBO5 was simulated for λ = 1.5418 Å (Cu Kα).

Crystal structure
```
data_AcPmBO5
_chemical_formula_sum 'Ac4 Pm4 B4 O20'
_space_group_name_H-M_alt 'C m c m'
_space_group_IT_number 63
_space_group_name_Hall '-C 2c 2'
_cell_length_a 6.9699
_cell_length_b 8.9854
_cell_length_c 7.4786
_cell_angle_alpha 90.00
_cell_angle_beta 90.00
_cell_angle_gamma 90.00
loop_
_atom_site_label
_atom_site_type_symbol
_atom_site_fract_x
_atom_site_fract_y
_atom_site_fract_z
Ac1 Ac 0.0000 0.0000 0.0000
Pm1 Pm 0.0000 0.4019 0.2500
B1 B 0.0000 0.2653 0.7500
O1 O 0.0000 0.1510 0.2500
O2 O 0.0000 0.3591 0.5873
O3 O 0.1688 0.1557 0.7500
```

The 10 most intense peaks (5 to 70 degrees two-theta), sorted by position:
- 2θ 16.09, I 18, (1 1 0)
- 2θ 19.76, I 34, (0 2 0)
- 2θ 25.56, I 59, (2 0 0)
- 2θ 28.86, I 100, (1 1 2)
- 2θ 32.53, I 51, (1 3 0)
- 2θ 34.73, I 18, (1 3 1)
- 2θ 40.70, I 33, (1 3 2)
- 2θ 47.17, I 48, (0 4 2)
- 2θ 52.57, I 22, (4 0 0)
- 2θ 54.44, I 18, (2 4 2)

***

(5)
Starting from a DFT-relaxed cell (GGA-PBE, Alexandria), the XRD peak list of Ac3PmB4O12 was simulated for λ = 1.5418 Å (Cu Kα).

Crystal structure
```
data_Ac3PmB4O12
_chemical_formula_sum 'Ac9 Pm3 B12 O36'
_space_group_name_H-M_alt 'R 3 2'
_space_group_IT_number 155
_space_group_name_Hall 'R 3 2"'
_cell_length_a 10.5330
_cell_length_b 10.5330
_cell_length_c 9.4007
_cell_angle_alpha 90.00
_cell_angle_beta 90.00
_cell_angle_gamma 120.00
loop_
_atom_site_label
_atom_site_type_symbol
_atom_site_fract_x
_atom_site_fract_y
_atom_site_fract_z
Ac1 Ac 0.0000 0.5134 0.0000
Pm1 Pm 0.0000 0.0000 0.0000
B1 B 0.0000 0.0000 0.5000
B2 B 0.0000 0.4847 0.5000
O1 O 0.0000 0.6152 0.5000
O2 O 0.0000 0.8694 0.5000
O3 O 0.0204 0.1992 0.8446
```

The 10 most intense peaks (5 to 70 degrees two-theta), sorted by position:
- 2θ 21.66, I 100, (0 2 1)
- 2θ 27.24, I 94, (2 0 2)
- 2θ 28.48, I 11, (0 0 3)
- 2θ 34.05, I 37, (2 2 0)
- 2θ 40.71, I 27, (4 0 1)
- 2θ 43.31, I 27, (0 2 4)
- 2θ 44.14, I 19, (0 4 2)
- 2θ 44.97, I 43, (2 2 3)
- 2θ 54.09, I 22, (2 4 1)
- 2θ 56.89, I 18, (4 2 2)

***

(6)
Starting from a DFT-relaxed cell (GGA-PBE, Alexandria), the XRD peak list of Ac3PuB4O12 was simulated for λ = 1.5418 Å (Cu Kα).

Crystal structure
```
data_Ac3PuB4O12
_chemical_formula_sum 'Ac9 Pu3 B12 O36'
_space_group_name_H-M_alt 'R 3 2'
_space_group_IT_number 155
_space_group_name_Hall 'R 3 2"'
_cell_length_a 10.5628
_cell_length_b 10.5628
_cell_length_c 9.3986
_cell_angle_alpha 90.00
_cell_angle_beta 90.00
_cell_angle_gamma 120.00
loop_
_atom_site_label
_atom_site_type_symbol
_atom_site_fract_x
_atom_site_fract_y
_atom_site_fract_z
Ac1 Ac 0.0000 0.5135 0.0000
Pu1 Pu 0.0000 0.0000 0.0000
B1 B 0.0000 0.0000 0.5000
B2 B 0.0000 0.4865 0.5000
O1 O 0.0000 0.6166 0.5000
O2 O 0.0000 0.8697 0.5000
O3 O 0.0225 0.1996 0.8425
```

The 10 most intense peaks (5 to 70 degrees two-theta), sorted by position:
- 2θ 21.61, I 100, (0 2 1)
- 2θ 27.21, I 90, (2 0 2)
- 2θ 28.49, I 12, (0 0 3)
- 2θ 33.95, I 37, (2 2 0)
- 2θ 40.60, I 27, (4 0 1)
- 2θ 43.29, I 26, (0 2 4)
- 2θ 44.04, I 19, (0 4 2)
- 2θ 44.89, I 42, (2 2 3)
- 2θ 53.93, I 22, (2 4 1)
- 2θ 56.74, I 18, (4 2 2)

***

(7)
Starting from a DFT-relaxed cell (GGA-PBE, Alexandria), the XRD peak list of AcB2SbO8 was simulated for λ = 1.5418 Å (Cu Kα).

Crystal structure
```
data_AcB2SbO8
_chemical_formula_sum 'Ac2 B4 Sb2 O16'
_space_group_name_H-M_alt 'C 1 2/m 1'
_space_group_IT_number 12
_cell_length_a 7.8043
_cell_length_b 5.0222
_cell_length_c 7.5309
_cell_angle_alpha 90.00
_cell_angle_beta 92.97
_cell_angle_gamma 90.00
loop_
_space_group_symop_operation_xyz
'x,y,z'
'-x,-y,-z'
'-x,y,-z'
'x,-y,z'
'x+1/2,y+1/2,z'
'-x+1/2,-y+1/2,-z'
'-x+1/2,y+1/2,-z'
'x+1/2,-y+1/2,z'
loop_
_atom_site_label
_atom_site_type_symbol
_atom_site_fract_x
_atom_site_fract_y
_atom_site_fract_z
Ac1 Ac 0.0000 0.0000 0.0000
B1 B 0.1274 0.5000 0.2894
Sb1 Sb 0.0000 0.0000 0.5000
O1 O 0.0201 0.2579 0.2995
O2 O 0.1954 0.5000 0.1136
O3 O 0.2449 0.5000 0.4517
```

The 10 most intense peaks (5 to 70 degrees two-theta), sorted by position:
- 2θ 21.04, I 100, (1 1 0)
- 2θ 22.82, I 52, (2 0 0)
- 2θ 23.66, I 35, (0 0 2)
- 2θ 31.41, I 46, (1 1 -2)
- 2θ 32.32, I 46, (1 1 2)
- 2θ 35.76, I 20, (0 2 0)
- 2θ 39.04, I 31, (3 1 0)
- 2θ 43.33, I 27, (0 2 2)
- 2θ 45.15, I 17, (3 1 -2)
- 2θ 48.89, I 17, (2 2 -2)

***

(8)
Starting from a DFT-relaxed cell (GGA-PBE, Alexandria), the XRD peak list of AcSmB2O6 was simulated for λ = 1.5418 Å (Cu Kα).

Crystal structure
```
data_AcSmB2O6
_chemical_formula_sum 'Ac4 Sm4 B8 O24'
_space_group_name_H-M_alt 'C 1 2/c 1'
_space_group_IT_number 15
_cell_length_a 8.4105
_cell_length_b 9.9281
_cell_length_c 6.7010
_cell_angle_alpha 90.00
_cell_angle_beta 109.61
_cell_angle_gamma 90.00
loop_
_space_group_symop_operation_xyz
'x,y,z'
'-x,-y,-z'
'-x,y,-z+1/2'
'x,-y,z+1/2'
'x+1/2,y+1/2,z'
'-x+1/2,-y+1/2,-z'
'-x+1/2,y+1/2,-z+1/2'
'x+1/2,-y+1/2,z+1/2'
loop_
_atom_site_label
_atom_site_type_symbol
_atom_site_fract_x
_atom_site_fract_y
_atom_site_fract_z
Ac1 Ac 0.0000 0.1528 0.2500
Sm1 Sm 0.0000 0.4058 0.7500
B1 B 0.2446 0.1162 0.7226
O1 O 0.0980 0.3832 0.1199
O2 O 0.1594 0.2355 0.6582
O3 O 0.1896 0.0026 0.1129
```

The 10 most intense peaks (5 to 70 degrees two-theta), sorted by position:
- 2θ 17.23, I 22, (1 1 -1)
- 2θ 22.44, I 61, (2 0 0)
- 2θ 22.79, I 100, (0 2 1)
- 2θ 28.28, I 52, (0 0 2)
- 2θ 28.59, I 96, (2 2 -1)
- 2θ 29.69, I 21, (2 0 -2)
- 2θ 35.48, I 40, (2 2 1)
- 2θ 42.17, I 21, (2 0 2)
- 2θ 45.31, I 29, (2 2 -3)
- 2θ 46.92, I 44, (4 2 -1)

***

Q: Which formula does entry 6 have?
A: Ac3PuB4O12